This entry pairs a crystal structure of TaZnIn with its computed powder XRD pattern. Radiation: λ = 1.5418 Å (Cu Kα). Structure: a structure optimized by DFT (PBE).

Principal peaks in the range 2θ from 5° to 70°, most intense first:
| 2theta | I (rel.) | (hkl) |
| --- | --- | --- |
| 37.90 | 1000 | 1 0 1 |
| 39.00 | 819 | 1 1 0 |
| 55.51 | 329 | 2 0 1 |
| 69.92 | 328 | 2 1 1 |
| 22.22 | 218 | 1 0 0 |
| 63.04 | 65 | 0 0 2 |
| 45.34 | 35 | 2 0 0 |
| 61.31 | 30 | 2 1 0 |
| 67.73 | 23 | 1 0 2 |

Atomic structure:
abc: 4.6192 4.6192 2.9490
angles: 90.00 90.00 120.00
Space group P-6m2 (No. 187)
Inequivalent atoms, fractional coordinates:
Ta (0.0000, 0.0000, 0.0000) (multiplicity 1)
Zn (0.6667, 0.3333, 0.5000) (multiplicity 1)
In (0.3333, 0.6667, 0.5000) (multiplicity 1)

This entry pairs a crystal structure of Cs3Sr2F7 with its computed powder XRD pattern. Radiation: λ = 1.5418 Å (Cu Kα). Structure: a structure optimized by DFT (PBE).

Principal peaks in the range 2θ from 5° to 70°, most intense first:
| 2theta | I (rel.) | (hkl) |
| --- | --- | --- |
| 25.84 | 1000 | 1 0 5 |
| 26.17 | 613 | 1 1 0 |
| 45.98 | 422 | 2 1 5 |
| 37.35 | 395 | 2 0 0 |
| 53.14 | 213 | 2 0 10 |
| 45.38 | 203 | 1 1 10 |
| 36.40 | 168 | 0 0 10 |
| 34.18 | 149 | 1 1 6 |
| 53.85 | 129 | 2 2 0 |
| 60.83 | 115 | 3 1 0 |

Atomic structure:
abc: 4.8155 4.8155 24.6856
angles: 90.00 90.00 90.00
Space group I4/mmm (No. 139)
Inequivalent atoms, fractional coordinates:
Cs (0.0000, 0.0000, 0.0000) (multiplicity 2)
Cs (0.0000, 0.0000, 0.1877) (multiplicity 4)
Sr (0.0000, 0.0000, 0.4017) (multiplicity 4)
F (0.0000, 0.0000, 0.3041) (multiplicity 4)
F (0.0000, 0.0000, 0.5000) (multiplicity 2)
F (0.0000, 0.5000, 0.0968) (multiplicity 8)

This entry pairs a crystal structure of V7AuC2 with its computed powder XRD pattern. Radiation: λ = 1.5418 Å (Cu Kα). Structure: a structure optimized by DFT (PBE).

Principal peaks in the range 2θ from 5° to 70°, most intense first:
| 2theta | I (rel.) | (hkl) |
| --- | --- | --- |
| 27.67 | 1000 | 2 0 0 |
| 37.07 | 965 | 1 3 1 |
| 16.15 | 903 | 1 1 0 |
| 35.81 | 777 | 2 0 1 |
| 44.72 | 656 | 2 4 0 |
| 41.43 | 575 | 0 4 1 |
| 48.91 | 503 | 3 1 1 |
| 45.56 | 399 | 0 0 2 |
| 65.75 | 388 | 2 4 2 |
| 49.86 | 216 | 3 3 0 |

Atomic structure:
abc: 6.4547 10.4165 3.9821
angles: 90.00 90.00 90.00
Space group Cmmm (No. 65)
Inequivalent atoms, fractional coordinates:
V (0.0000, 0.0000, 0.0000) (multiplicity 2)
V (0.0000, 0.2271, 0.5000) (multiplicity 4)
V (0.2021, 0.3639, 0.0000) (multiplicity 8)
Au (0.0000, 0.5000, 0.5000) (multiplicity 2)
C (0.0000, 0.2055, 0.0000) (multiplicity 4)

This entry pairs a crystal structure of La5Y with its computed powder XRD pattern. Radiation: λ = 1.5418 Å (Cu Kα). Structure: a structure optimized by DFT (PBE).

Principal peaks in the range 2θ from 5° to 70°, most intense first:
| 2theta | I (rel.) | (hkl) |
| --- | --- | --- |
| 31.33 | 1000 | 4 0 1 |
| 29.79 | 253 | 4 0 -2 |
| 27.48 | 237 | 1 1 1 |
| 58.03 | 227 | 7 1 1 |
| 53.85 | 214 | 8 0 -1 |
| 48.58 | 195 | 3 1 3 |
| 58.95 | 163 | 4 2 1 |
| 40.97 | 161 | 5 1 -1 |
| 61.88 | 31 | 8 0 -4 |
| 56.72 | 31 | 4 0 4 |

Atomic structure:
abc: 13.6321 3.7462 8.8489
angles: 90.00 104.31 90.00
Space group Cm (No. 8)
Inequivalent atoms, fractional coordinates:
La (0.0000, 0.0000, 0.0000) (multiplicity 2)
La (0.0558, 0.0000, 0.6148) (multiplicity 2)
La (0.1675, 0.5000, 0.3361) (multiplicity 2)
La (0.3308, 0.0000, 0.6712) (multiplicity 2)
La (0.3890, 0.0000, 0.2771) (multiplicity 2)
Y (0.2216, 0.5000, 0.9488) (multiplicity 2)

This entry pairs a crystal structure of TlCO3 with its computed powder XRD pattern. Radiation: λ = 1.5418 Å (Cu Kα). Structure: a structure optimized by DFT (PBE).

Principal peaks in the range 2θ from 5° to 70°, most intense first:
| 2theta | I (rel.) | (hkl) |
| --- | --- | --- |
| 27.49 | 1000 | 1 0 4 |
| 21.52 | 942 | 0 1 2 |
| 33.47 | 431 | 1 1 0 |
| 45.21 | 415 | 1 1 6 |
| 40.14 | 294 | 2 0 2 |
| 44.43 | 267 | 0 1 8 |
| 53.22 | 265 | 1 2 2 |
| 43.84 | 204 | 0 2 4 |
| 56.26 | 197 | 2 1 4 |
| 67.51 | 116 | 1 2 8 |

Atomic structure:
abc: 5.3548 5.3548 18.1631
angles: 90.00 90.00 120.00
Space group R-3c (No. 167, hexagonal axes)
Inequivalent atoms, fractional coordinates:
Tl (0.0000, 0.0000, 0.0000) (multiplicity 6)
C (0.0000, 0.0000, 0.2500) (multiplicity 6)
O (0.0000, 0.2427, 0.2500) (multiplicity 18)

This entry pairs a crystal structure of LaTb4Pm2Sm2 with its computed powder XRD pattern. Radiation: λ = 1.5418 Å (Cu Kα). Structure: a structure optimized by DFT (PBE).

Principal peaks in the range 2θ from 5° to 70°, most intense first:
| 2theta | I (rel.) | (hkl) |
| --- | --- | --- |
| 30.25 | 1000 | 3 1 1 |
| 35.03 | 339 | 0 2 0 |
| 59.89 | 288 | 9 1 0 |
| 50.39 | 182 | 6 2 -1 |
| 50.48 | 180 | 6 0 2 |
| 35.15 | 168 | 0 0 3 |
| 60.06 | 142 | 3 1 4 |
| 62.91 | 124 | 6 2 2 |

Atomic structure:
abc: 15.3793 5.1212 8.0783
angles: 90.00 108.54 90.00
Space group C2/m (No. 12)
Inequivalent atoms, fractional coordinates:
La (0.0000, 0.0000, 0.0000) (multiplicity 2)
Tb (0.0568, 0.5000, 0.3360) (multiplicity 4)
Tb (0.2224, 0.0000, 0.3354) (multiplicity 4)
Pm (0.1678, 0.5000, 0.9997) (multiplicity 4)
Sm (0.1110, 0.0000, 0.6632) (multiplicity 4)

This entry pairs a crystal structure of Th6Co2Sb with its computed powder XRD pattern. Radiation: λ = 1.5418 Å (Cu Kα). Structure: a structure optimized by DFT (PBE).

Principal peaks in the range 2θ from 5° to 70°, most intense first:
| 2theta | I (rel.) | (hkl) |
| --- | --- | --- |
| 29.77 | 1000 | 5 1 -1 |
| 31.46 | 781 | 1 1 2 |
| 28.75 | 609 | 3 1 -2 |
| 28.15 | 505 | 2 2 1 |
| 40.79 | 432 | 2 4 -1 |
| 33.34 | 373 | 0 2 2 |
| 30.37 | 342 | 4 2 0 |
| 34.36 | 325 | 5 1 -2 |
| 31.05 | 261 | 1 3 -1 |
| 38.26 | 260 | 5 1 1 |

Atomic structure:
abc: 15.9460 9.5088 6.9303
angles: 90.00 109.90 90.00
Space group C2/c (No. 15)
Inequivalent atoms, fractional coordinates:
Th (0.0896, 0.1034, 0.1920) (multiplicity 8)
Th (0.0967, 0.4634, 0.4565) (multiplicity 8)
Th (0.2145, 0.1916, 0.7428) (multiplicity 8)
Co (0.2486, 0.0517, 0.1156) (multiplicity 8)
Sb (0.0000, 0.2404, 0.7500) (multiplicity 4)

This entry pairs a crystal structure of SrScTl with its computed powder XRD pattern. Radiation: λ = 1.5418 Å (Cu Kα). Structure: a structure optimized by DFT (PBE).

Principal peaks in the range 2θ from 5° to 70°, most intense first:
| 2theta | I (rel.) | (hkl) |
| --- | --- | --- |
| 6.53 | 1000 | 0 0 1 |
| 30.96 | 553 | 1 0 3 |
| 33.70 | 473 | 1 1 0 |
| 35.70 | 461 | 1 0 4 |
| 23.66 | 242 | 1 0 0 |
| 61.58 | 189 | 2 1 4 |
| 58.57 | 180 | 2 1 3 |
| 48.40 | 170 | 2 0 0 |
| 24.57 | 159 | 1 0 1 |
| 19.69 | 125 | 0 0 3 |

Atomic structure:
abc: 3.7610 3.7610 13.5283
angles: 90.00 90.00 90.00
Space group P4mm (No. 99)
Inequivalent atoms, fractional coordinates:
Sr (0.0000, 0.0000, 0.0000) (multiplicity 1)
Sr (0.5000, 0.5000, 0.2575) (multiplicity 1)
Sc (0.5000, 0.5000, 0.5473) (multiplicity 1)
Sc (0.5000, 0.5000, 0.7966) (multiplicity 1)
Tl (0.0000, 0.0000, 0.4245) (multiplicity 1)
Tl (0.0000, 0.0000, 0.6797) (multiplicity 1)